# 1
For ScSe2O10, the PBE geometry in Alexandria gives the calculated powder diffraction line list in this record (Cu Kα (weighted mean of Kα1 and Kα2)).
Lines closer than 0.1° are merged.

Cell lengths 5.298, 5.430, 9.334 Å; angles 87.63, 74.07, 62.90 degrees
Positions (direct):
1 Sc 0.000 0.000 0.000
2 Se 0.464 0.318 0.812
3 Se 0.536 0.682 0.188
4 O 0.186 0.917 0.542
5 O 0.188 0.868 0.181
6 O 0.244 0.216 0.935
7 O 0.355 0.652 0.858
8 O 0.445 0.279 0.637
9 O 0.555 0.721 0.363
10 O 0.645 0.348 0.142
11 O 0.756 0.784 0.065
12 O 0.812 0.132 0.819
13 O 0.814 0.083 0.458

Main lines, low angle first (2θ = 10–90°):
2θ/deg  I_rel
19.65  65
19.80  72
20.09  100
20.35  59
21.82  80
23.65  86
23.86  98
28.57  59
30.86  65
33.13  53



# 2
For Sc3Se2O2, the PBE geometry in Alexandria gives the calculated powder diffraction line list in this record (Cu Kα (weighted mean of Kα1 and Kα2)).
Lines closer than 0.1° are merged.

Cell lengths 6.416, 6.416, 6.070 Å; angles 114.13, 114.13, 32.59 degrees
Positions (direct):
1 Sc 0.000 0.000 0.000
2 Sc 0.244 0.244 0.711
3 Sc 0.756 0.756 0.289
4 Se 0.404 0.404 0.198
5 Se 0.596 0.596 0.802
6 O 0.172 0.172 0.326
7 O 0.828 0.828 0.674

Main lines, low angle first (2θ = 10–90°):
2θ/deg  I_rel
27.22  44
29.12  12
32.60  20
33.65  100
39.27  31
42.85  13
45.87  15
46.31  13
48.01  22
50.71  17



# 3
For Sc2Se3O9, the PBE geometry in Alexandria gives the calculated powder diffraction line list in this record (Cu Kα (weighted mean of Kα1 and Kα2)).
Lines closer than 0.1° are merged.

Cell lengths 8.392, 8.392, 7.803 Å; angles 90.00, 90.00, 120.00 degrees
Positions (direct):
1 Sc 0.333 0.667 0.045
2 Sc 0.333 0.667 0.455
3 Sc 0.667 0.333 0.545
4 Sc 0.667 0.333 0.955
5 Se 0.033 0.724 0.750
6 Se 0.276 0.309 0.750
7 Se 0.309 0.033 0.250
8 Se 0.691 0.967 0.750
9 Se 0.724 0.691 0.250
10 Se 0.967 0.276 0.250
11 O 0.132 0.511 0.250
12 O 0.165 0.740 0.578
13 O 0.165 0.740 0.922
14 O 0.260 0.425 0.578
15 O 0.260 0.425 0.922
16 O 0.379 0.868 0.250
17 O 0.425 0.165 0.078
18 O 0.425 0.165 0.422
19 O 0.489 0.621 0.250
20 O 0.511 0.379 0.750
21 O 0.575 0.835 0.578
22 O 0.575 0.835 0.922
23 O 0.621 0.132 0.750
24 O 0.740 0.575 0.078
25 O 0.740 0.575 0.422
26 O 0.835 0.260 0.078
27 O 0.835 0.260 0.422
28 O 0.868 0.489 0.750

Main lines, low angle first (2θ = 10–90°):
2θ/deg  I_rel
12.18  11
24.08  100
24.50  15
27.07  19
31.31  32
37.11  15
40.82  15
48.18  11
51.00  17
56.40  10



# 4
For Sc3Se2O2, the PBE geometry in Alexandria gives the calculated powder diffraction line list in this record (Cu Kα (weighted mean of Kα1 and Kα2)).
Lines closer than 0.1° are merged.

Cell lengths 5.977, 6.687, 6.795 Å; angles 90.00, 118.58, 90.00 degrees
Positions (direct):
1 Sc 0.000 0.000 0.000
2 Sc 0.000 0.500 0.500
3 Sc 0.386 0.126 0.774
4 Sc 0.386 0.374 0.274
5 Sc 0.614 0.626 0.726
6 Sc 0.614 0.874 0.226
7 Se 0.172 0.644 0.917
8 Se 0.172 0.856 0.417
9 Se 0.828 0.144 0.583
10 Se 0.828 0.356 0.083
11 O 0.360 0.120 0.078
12 O 0.360 0.380 0.578
13 O 0.640 0.620 0.422
14 O 0.640 0.880 0.922

Main lines, low angle first (2θ = 10–90°):
2θ/deg  I_rel
29.62  48
30.65  53
31.41  36
32.87  100
36.79  50
38.66  34
41.35  32
42.38  38
43.33  18
57.88  24



# 5
For ScSe2O5, the PBE geometry in Alexandria gives the calculated powder diffraction line list in this record (Cu Kα (weighted mean of Kα1 and Kα2)).
Lines closer than 0.1° are merged.

Cell lengths 7.762, 10.266, 6.250 Å; angles 90.00, 90.00, 90.00 degrees
Positions (direct):
1 Sc 0.000 0.071 0.250
2 Sc 0.000 0.929 0.750
3 Sc 0.500 0.429 0.750
4 Sc 0.500 0.571 0.250
5 Se 0.148 0.361 0.031
6 Se 0.148 0.639 0.531
7 Se 0.352 0.139 0.531
8 Se 0.352 0.861 0.031
9 Se 0.648 0.139 0.969
10 Se 0.648 0.861 0.469
11 Se 0.852 0.361 0.469
12 Se 0.852 0.639 0.969
13 O 0.000 0.433 0.250
14 O 0.000 0.567 0.750
15 O 0.136 0.071 0.549
16 O 0.136 0.929 0.049
17 O 0.178 0.211 0.147
18 O 0.178 0.789 0.647
19 O 0.322 0.289 0.647
20 O 0.322 0.711 0.147
21 O 0.364 0.429 0.049
22 O 0.364 0.571 0.549
23 O 0.500 0.067 0.750
24 O 0.500 0.933 0.250
25 O 0.636 0.429 0.451
26 O 0.636 0.571 0.951
27 O 0.678 0.289 0.853
28 O 0.678 0.711 0.353
29 O 0.822 0.211 0.353
30 O 0.822 0.789 0.853
31 O 0.864 0.071 0.951
32 O 0.864 0.929 0.451

Main lines, low angle first (2θ = 10–90°):
2θ/deg  I_rel
20.19  25
25.21  100
28.45  69
30.85  14
32.08  13
34.96  13
48.60  15
52.50  20
53.19  12
55.76  13



# 6
For Sc3Se2O, the PBE geometry in Alexandria gives the calculated powder diffraction line list in this record (Cu Kα (weighted mean of Kα1 and Kα2)).
Lines closer than 0.1° are merged.

Cell lengths 7.449, 7.449, 5.227 Å; angles 90.00, 90.00, 59.46 degrees
Positions (direct):
1 Sc 0.110 0.591 0.004
2 Sc 0.118 0.882 0.500
3 Sc 0.409 0.890 0.004
4 Sc 0.591 0.110 0.504
5 Sc 0.882 0.118 0.000
6 Sc 0.890 0.409 0.504
7 Se 0.206 0.486 0.504
8 Se 0.486 0.206 0.004
9 Se 0.514 0.794 0.504
10 Se 0.794 0.514 0.004
11 O 0.161 0.839 0.007
12 O 0.839 0.161 0.507

Main lines, low angle first (2θ = 10–90°):
2θ/deg  I_rel
23.89  100
24.09  35
29.61  36
34.31  86
40.91  41
41.11  35
41.90  37
42.25  78
55.23  31
55.52  31



# 7
For SmScSe2O, the PBE geometry in Alexandria gives the calculated powder diffraction line list in this record (Cu Kα (weighted mean of Kα1 and Kα2)).
Lines closer than 0.1° are merged.

Cell lengths 3.932, 3.932, 13.997 Å; angles 90.00, 90.00, 90.00 degrees
Positions (direct):
1 Sm 0.250 0.250 0.085
2 Sm 0.750 0.750 0.915
3 Sc 0.250 0.250 0.616
4 Sc 0.750 0.750 0.384
5 Se 0.250 0.250 0.411
6 Se 0.250 0.250 0.794
7 Se 0.750 0.750 0.206
8 Se 0.750 0.750 0.589
9 O 0.250 0.750 0.000
10 O 0.750 0.250 0.000

Main lines, low angle first (2θ = 10–90°):
2θ/deg  I_rel
12.65  12
29.71  100
32.20  76
34.31  23
41.48  16
46.18  33
51.11  22
55.88  34
67.36  10
76.64  12



# 8
For Sc6Tl2SeO, the PBE geometry in Alexandria gives the calculated powder diffraction line list in this record (Cu Kα (weighted mean of Kα1 and Kα2)).
Lines closer than 0.1° are merged.

Cell lengths 4.823, 4.823, 9.255 Å; angles 90.00, 90.00, 90.00 degrees
Positions (direct):
1 Sc 0.000 0.000 0.225
2 Sc 0.000 0.000 0.775
3 Sc 0.000 0.500 0.000
4 Sc 0.000 0.500 0.500
5 Sc 0.500 0.000 0.000
6 Sc 0.500 0.000 0.500
7 Tl 0.500 0.500 0.243
8 Tl 0.500 0.500 0.757
9 Se 0.000 0.000 0.500
10 O 0.000 0.000 0.000

Main lines, low angle first (2θ = 10–90°):
2θ/deg  I_rel
18.40  26
26.13  45
26.70  86
32.62  100
37.29  63
38.92  26
46.45  40
53.76  21
55.00  37
64.31  27



# 9
For ScTl2SeO6, the PBE geometry in Alexandria gives the calculated powder diffraction line list in this record (Cu Kα (weighted mean of Kα1 and Kα2)).
Lines closer than 0.1° are merged.

Cell lengths 6.023, 6.023, 5.423 Å; angles 90.00, 90.00, 120.00 degrees
Positions (direct):
1 Sc 0.000 0.000 0.000
2 Tl 0.333 0.667 0.604
3 Tl 0.667 0.333 0.396
4 Se 0.000 0.000 0.500
5 O 0.140 0.279 0.293
6 O 0.140 0.860 0.293
7 O 0.279 0.140 0.707
8 O 0.721 0.860 0.293
9 O 0.860 0.140 0.707
10 O 0.860 0.721 0.707

Main lines, low angle first (2θ = 10–90°):
2θ/deg  I_rel
16.34  80
23.67  69
29.66  100
34.05  67
37.38  47
38.29  40
48.42  31
49.17  19
52.64  20
57.82  27



# 10
For Sc6Si2O, the PBE geometry in Alexandria gives the calculated powder diffraction line list in this record (Cu Kα (weighted mean of Kα1 and Kα2)).
Lines closer than 0.1° are merged.

Cell lengths 5.831, 5.831, 11.328 Å; angles 90.00, 90.00, 90.00 degrees
Positions (direct):
1 Sc 0.192 0.192 0.140
2 Sc 0.192 0.192 0.860
3 Sc 0.210 0.210 0.500
4 Sc 0.290 0.710 0.000
5 Sc 0.308 0.692 0.360
6 Sc 0.308 0.692 0.640
7 Sc 0.692 0.308 0.360
8 Sc 0.692 0.308 0.640
9 Sc 0.710 0.290 0.000
10 Sc 0.790 0.790 0.500
11 Sc 0.808 0.808 0.140
12 Sc 0.808 0.808 0.860
13 Si 0.000 0.000 0.324
14 Si 0.000 0.000 0.676
15 Si 0.500 0.500 0.176
16 Si 0.500 0.500 0.824
17 O 0.000 0.000 0.000
18 O 0.500 0.500 0.500

Main lines, low angle first (2θ = 10–90°):
2θ/deg  I_rel
21.55  32
30.67  22
32.14  100
34.39  39
42.11  33
43.92  23
45.69  12
52.99  32
55.46  13
66.06  14



# 11
For Sc2Si2O7, the PBE geometry in Alexandria gives the calculated powder diffraction line list in this record (Cu Kα (weighted mean of Kα1 and Kα2)).
Lines closer than 0.1° are merged.

Cell lengths 6.627, 6.627, 6.627 Å; angles 60.00, 60.00, 60.00 degrees
Positions (direct):
1 Sc 0.000 0.000 0.000
2 Sc 0.000 0.000 0.500
3 Sc 0.000 0.500 0.000
4 Sc 0.500 0.000 0.000
5 Si 0.000 0.500 0.500
6 Si 0.500 0.000 0.500
7 Si 0.500 0.500 0.000
8 Si 0.500 0.500 0.500
9 O 0.125 0.125 0.125
10 O 0.176 0.176 0.574
11 O 0.176 0.574 0.176
12 O 0.176 0.574 0.574
13 O 0.426 0.426 0.824
14 O 0.426 0.824 0.426
15 O 0.426 0.824 0.824
16 O 0.574 0.176 0.176
17 O 0.574 0.176 0.574
18 O 0.574 0.574 0.176
19 O 0.824 0.426 0.426
20 O 0.824 0.426 0.824
21 O 0.824 0.824 0.426
22 O 0.875 0.875 0.875

Main lines, low angle first (2θ = 10–90°):
2θ/deg  I_rel
33.11  100
38.42  7
42.02  22
47.53  3
50.60  9
55.46  61
66.13  35
69.48  6
82.30  8
84.64  3



# 12
For Sc2SiO5, the PBE geometry in Alexandria gives the calculated powder diffraction line list in this record (Cu Kα (weighted mean of Kα1 and Kα2)).
Lines closer than 0.1° are merged.

Cell lengths 7.553, 7.553, 7.553 Å; angles 136.23, 136.23, 63.63 degrees
Positions (direct):
1 Sc 0.000 0.000 0.000
2 Sc 0.000 0.000 0.500
3 Sc 0.000 0.500 0.000
4 Sc 0.500 0.000 0.500
5 Si 0.375 0.625 0.750
6 Si 0.625 0.375 0.250
7 O 0.125 0.875 0.250
8 O 0.196 0.694 0.502
9 O 0.306 0.308 0.502
10 O 0.306 0.804 0.998
11 O 0.308 0.306 0.002
12 O 0.692 0.694 0.998
13 O 0.694 0.196 0.002
14 O 0.694 0.692 0.498
15 O 0.804 0.306 0.498
16 O 0.875 0.125 0.750

Main lines, low angle first (2θ = 10–90°):
2θ/deg  I_rel
17.20  24
26.16  100
26.34  31
36.36  20
41.61  31
45.56  17
53.29  11
53.81  24
54.22  33
66.41  15